Diffraction record for MnAgH8O4F4. The powder X-ray diffraction pattern is computed, not measured: it uses a structure optimized by DFT (PBE+U) and copper Kα.
No peak broadening, texture or thermal motion is included.

Main lines, sorted by position (2θ = 10–90°):
2θ = 13.6°, rel. 88
2θ = 15.8°, rel. 78
2θ = 18.4°, rel. 100
2θ = 20.1°, rel. 53
2θ = 20.3°, rel. 61
2θ = 24.2°, rel. 53
2θ = 27.0°, rel. 64
2θ = 32.3°, rel. 55

Cell and atoms:
Cell lengths 6.736, 7.178, 7.597 Å; angles 90.00, 104.40, 90.00 degrees
Space group P2_1/m (No. 11)
Symmetry-distinct sites (fractional):
Mn: 0.224 0.250 0.455 [2 per cell]
Ag: 0.467 0.250 0.942 [2 per cell]
H: 0.044 0.635 0.376 [4 per cell]
H: 0.149 0.538 0.891 [4 per cell]
H: 0.205 0.007 0.103 [4 per cell]
H: 0.456 0.632 0.635 [4 per cell]
O: 0.022 0.750 0.446 [2 per cell]
O: 0.265 0.513 0.997 [4 per cell]
O: 0.456 0.250 0.342 [2 per cell]
F: 0.086 0.044 0.271 [4 per cell]
F: 0.351 0.050 0.630 [4 per cell]